Theoretical powder diffractogram of SrSiPd3 for Cu Kα (λ = 1.5418 Å), from a crystal structure in Alexandria, relaxed with GGA-PBE.
Neutral-atom scattering factors, no anomalous dispersion.

Top 8 peaks for 2θ from 5° to 70°, by angle:
h k l  2θ (°)  intensity
1 0 0  18.92  6
1 1 1  33.08  100
2 0 0  38.38  66
2 1 0  43.13  2
2 2 0  55.41  44
3 0 0  59.09  1
3 1 1  66.07  39
2 2 2  69.41  15

```
SrSiPd3
1.0
4.6902 0.0000 0.0000
0.0000 4.6902 0.0000
0.0000 0.0000 4.6902
Sr Si Pd
1 1 3
Cartesian
0.0000 0.0000 0.0000 Sr
2.3451 2.3451 2.3451 Si
0.0000 2.3451 2.3451 Pd
2.3451 0.0000 2.3451 Pd
2.3451 2.3451 0.0000 Pd
```